No. 1
The following is a calculated X-ray diffraction stick pattern of Th2Ir7. It was derived from a GGA-PBE-relaxed structure, using Cu Ka.

Crystal structure
```
data_Th2Ir7
_chemical_formula_sum 'Th12 Ir42'
_cell_length_a 5.3539
_cell_length_b 5.3539
_cell_length_c 39.9710
_cell_angle_alpha 90.00
_cell_angle_beta 90.00
_cell_angle_gamma 120.00
_space_group_name_H-M_alt 'R -3 m'
_space_group_IT_number 166
_space_group_name_Hall '-R 3 2"'
loop_
_atom_site_label
_atom_site_type_symbol
_atom_site_fract_x
_atom_site_fract_y
_atom_site_fract_z
Th1 Th 0.0000 0.0000 0.0495
Th2 Th 0.0000 0.0000 0.1468
Ir1 Ir 0.0000 0.0000 0.2779
Ir2 Ir 0.0000 0.0000 0.3888
Ir3 Ir 0.0000 0.0000 0.5000
Ir4 Ir 0.0000 0.5000 0.0000
Ir5 Ir 0.0012 0.5006 0.8903
```

Principal peaks in the range 2θ from 15° to 90°, by angle:
2theta  I_rel  index
29.51  16.4  1 0 10
31.27  18.6  0 1 11
33.47  27.5  1 1 0
38.91  28.8  0 2 1
39.30  100.0  1 1 9
40.63  24.5  0 0 18
43.01  27.1  2 0 8
63.76  24.8  3 0 9
70.34  26.1  2 2 0
84.52  19.2  2 2 18


No. 2
The following is a calculated X-ray diffraction stick pattern of Pu3Si4Au7. It was derived from a GGA-PBE-relaxed structure, using Cu Ka.

Crystal structure
```
data_Pu3Si4Au7
_chemical_formula_sum 'Pu6 Si8 Au14'
_cell_length_a 16.122
_cell_length_b 4.351
_cell_length_c 9.440
_cell_angle_alpha 90.00
_cell_angle_beta 124.71
_cell_angle_gamma 90.00
_space_group_name_H-M_alt 'C 1 2/m 1'
_space_group_IT_number 12
loop_
_space_group_symop_operation_xyz
'x,y,z'
'-x,-y,-z'
'-x,y,-z'
'x,-y,z'
'x+1/2,y+1/2,z'
'-x+1/2,-y+1/2,-z'
'-x+1/2,y+1/2,-z'
'x+1/2,-y+1/2,z'
loop_
_atom_site_label
_atom_site_type_symbol
_atom_site_fract_x
_atom_site_fract_y
_atom_site_fract_z
Pu1 Pu 0.000 0.000 0.000
Pu2 Pu 0.189 0.500 0.692
Si1 Si 0.125 0.000 0.840
Si2 Si 0.168 0.500 0.287
Au1 Au 0.000 0.000 0.500
Au2 Au 0.008 0.500 0.288
Au3 Au 0.154 0.000 0.415
Au4 Au 0.176 0.500 0.032
```

Principal peaks in the range 2θ from 15° to 90°, by angle:
2theta  I_rel  index
26.16  23.3  1 1 1
28.80  42.9  3 1 -2
34.40  100.0  1 1 2
34.85  88.7  5 1 -2
35.21  52.3  3 1 1
38.02  27.8  5 1 -3
38.14  21.7  4 0 -4
40.86  52.1  6 0 0
41.51  58.2  0 2 0
59.66  34.8  6 2 0


No. 3
The following is a calculated X-ray diffraction stick pattern of Pm2ErUN4. It was derived from a GGA-PBE-relaxed structure, using Cu Ka.

Crystal structure
```
data_Pm2ErUN4
_chemical_formula_sum 'Pm2 Er1 U1 N4'
_cell_length_a 6.006
_cell_length_b 3.516
_cell_length_c 6.109
_cell_angle_alpha 90.00
_cell_angle_beta 108.95
_cell_angle_gamma 90.00
_space_group_name_H-M_alt 'P 1 2/m 1'
_space_group_IT_number 10
loop_
_space_group_symop_operation_xyz
'x,y,z'
'-x,-y,-z'
'-x,y,-z'
'x,-y,z'
loop_
_atom_site_label
_atom_site_type_symbol
_atom_site_fract_x
_atom_site_fract_y
_atom_site_fract_z
Pm1 Pm 0.000 0.000 0.000
Pm2 Pm 0.500 0.500 0.000
Er1 Er 0.000 0.500 0.500
U1 U 0.500 0.000 0.500
N1 N 0.260 0.000 0.718
N2 N 0.271 0.500 0.283
```

Principal peaks in the range 2θ from 15° to 90°, by angle:
2theta  I_rel  index
30.95  51.8  0 0 2
31.25  100.0  1 1 -1
31.50  49.0  2 0 0
36.11  93.5  1 1 1
36.45  45.3  2 0 -2
51.91  48.3  2 0 2
52.02  16.3  0 2 0
52.60  31.4  3 1 -1
61.57  15.9  1 1 3
65.18  16.3  2 2 -2


No. 4
The following is a calculated X-ray diffraction stick pattern of NaSrErBr6. It was derived from a GGA-PBE-relaxed structure, using Cu Ka.

Crystal structure
```
data_NaSrErBr6
_chemical_formula_sum 'Na2 Sr2 Er2 Br12'
_cell_length_a 7.5153
_cell_length_b 7.5153
_cell_length_c 13.1372
_cell_angle_alpha 90.00
_cell_angle_beta 90.00
_cell_angle_gamma 120.00
_space_group_name_H-M_alt 'P -3 1 c'
_space_group_IT_number 163
_space_group_name_Hall '-P 3 2c'
loop_
_atom_site_label
_atom_site_type_symbol
_atom_site_fract_x
_atom_site_fract_y
_atom_site_fract_z
Na1 Na 0.0000 0.0000 0.0000
Sr1 Sr 0.3333 0.6667 0.2500
Er1 Er 0.3333 0.6667 0.7500
Br1 Br 0.0282 0.3628 0.6280
```

Principal peaks in the range 2θ from 15° to 90°, by angle:
2theta  I_rel  index
15.19  17.6  1 0 1
19.20  24.7  1 0 2
27.34  100.0  1 1 2
36.33  56.3  1 1 4
41.63  37.6  3 0 0
48.10  22.0  2 -1 6
50.54  17.9  4 -2 2
56.42  14.5  4 -2 4
72.14  14.3  3 0 8
72.51  11.8  4 1 4